Computed X-ray powder pattern
Compound: Pr2CoCuGe4
Radiation: Cu Kα
Structure: a cell relaxed with PBE

Unit cell a=4.2699 b=4.2754 c=16.9358 alpha=90.00 beta=90.00 gamma=90.00
Atoms (fractional coordinates):
Pr 0.0000 0.0000 0.0000
Pr 0.0000 0.5000 0.5000
Pr 0.5000 0.0000 0.2164
Pr 0.5000 0.5000 0.7164
Co 0.5000 0.0000 0.4219
Co 0.5000 0.5000 0.9219
Cu 0.0000 0.0000 0.7817
Cu 0.0000 0.5000 0.2817
Ge 0.0000 0.0000 0.3602
Ge 0.0000 0.0000 0.6423
Ge 0.0000 0.5000 0.1423
Ge 0.0000 0.5000 0.8602
Ge 0.5000 0.0000 0.5587
Ge 0.5000 0.0000 0.8592
Ge 0.5000 0.5000 0.0587
Ge 0.5000 0.5000 0.3592

Principal peaks in the range 10° ≤ 2θ ≤ 90°, most intense first:
2theta	I (rel.)	h k l
33.6	1000	1 1 3
42.3	593	2 0 0
33.8	380	0 1 5
38.2	291	1 0 6
71.8	258	3 1 3
30.0	204	1 1 1
61.4	192	2 2 0
55.2	182	2 1 5
58.3	166	1 2 6
53.2	129	0 1 9